The following is a simulated XRD peak list of Zn6Ni5Ru. It was derived from a cell relaxed with GGA-PBE, using Cu Kα (weighted mean of Kα1 and Kα2).
Peak positions follow from Bragg's law for the DFT cell and can differ from measured ones.

Main lines, by intensity (10° ≤ 2θ ≤ 80°):
| Position (°2θ) | I (rel.) |
| --- | --- |
| 43.7 | 100 |
| 44.4 | 48 |
| 79.7 | 15 |
| 64.6 | 15 |
| 62.4 | 8 |
| 27.5 | 1 |
| 34.5 | 1 |
| 20.8 | 1 |

Atomic structure:
Lattice parameters (Å, degrees): 6.4518 6.4518 5.9569 90.00 90.00 143.08
Fractional positions:
Zn (0.0000, 0.0000, 0.2413)
Zn (0.0000, 0.0000, 0.7587)
Zn (0.3306, 0.6694, 0.2472)
Zn (0.3306, 0.6694, 0.7528)
Zn (0.6694, 0.3306, 0.2472)
Zn (0.6694, 0.3306, 0.7528)
Ni (0.1667, 0.8333, 0.5000)
Ni (0.1677, 0.8323, 0.0000)
Ni (0.5000, 0.5000, 0.0000)
Ni (0.8323, 0.1677, 0.0000)
Ni (0.8333, 0.1667, 0.5000)
Ru (0.5000, 0.5000, 0.5000)